The following is a theoretical X-ray diffraction stick pattern of Cr2SbO. It was derived from a PBE+U-relaxed structure, using Cu Kα.
Lines closer than 0.1° are merged.

Structural model:
```
8
Lattice="-2.649 2.649 5.674 2.649 -2.649 5.674 2.649 2.649 -5.674" Properties=species:S:1:pos:R:3 pbc="T T T"
Cr 0.490 1.325 1.418
Cr -1.325 2.159 4.255
Cr -0.490 3.974 1.418
Cr 1.325 3.139 4.255
Sb 2.649 0.000 2.837
Sb 0.000 0.000 5.674
O 0.000 0.000 0.000
O 0.000 2.649 2.837
```

The 10 most intense peaks (2θ from 10° to 90°), low angle first:
- 2θ = 28.55°, 3.127 Å, I 100
- 2θ = 29.00°, 3.079 Å, I 60
- 2θ = 33.83°, 2.649 Å, I 15
- 2θ = 37.46°, 2.401 Å, I 12
- 2θ = 38.82°, 2.320 Å, I 63
- 2θ = 43.37°, 2.086 Å, I 20
- 2θ = 46.92°, 1.936 Å, I 31
- 2θ = 54.34°, 1.688 Å, I 15
- 2θ = 57.34°, 1.607 Å, I 22
- 2θ = 59.10°, 1.563 Å, I 17

=====

The following is a theoretical X-ray diffraction stick pattern of Li3Mn2C3O9F. It was derived from a PBE+U-relaxed structure, using Cu Kα.
Lines closer than 0.1° are merged.

Structural model:
```
36
Lattice="3.820 -7.837 0.000 3.820 7.837 0.000 -1.438 0.000 6.313" Properties=species:S:1:pos:R:3 pbc="T T T"
Li 3.676 6.149 0.004
Li 3.101 6.232 3.156
Li 4.985 2.682 0.841
Li 4.266 -2.682 3.997
Li 2.957 -6.149 3.161
Li 3.820 -6.232 0.000
Mn 1.440 0.284 5.360
Mn 2.159 -0.284 2.204
Mn 3.719 2.935 4.071
Mn 4.438 -2.935 0.914
C 1.603 2.918 2.344
C 1.001 3.046 5.499
C 0.884 -2.918 5.500
C 1.720 -3.046 2.343
C 4.528 0.024 4.303
C 5.247 -0.024 1.146
O 0.783 4.289 5.806
O 0.085 2.289 5.002
O 1.830 4.102 2.849
O 2.427 1.959 2.615
O 2.190 2.512 5.690
O 3.679 5.092 4.737
O 0.804 -2.289 1.846
O 1.708 -1.959 5.771
O 3.952 0.106 1.038
O 1.502 -4.289 2.649
O 3.233 -0.106 4.194
O 1.111 -4.102 6.005
O 2.909 -2.512 2.534
O 5.056 1.216 4.369
O 5.991 1.026 1.183
O 5.775 -1.216 1.213
O 5.272 -1.026 4.339
O 4.398 -5.092 1.581
F 0.416 0.007 3.442
F 1.135 -0.007 0.285
```

The 10 most intense peaks (2θ from 10° to 90°), low angle first:
- 2θ = 13.16°, 6.727 Å, I 100
- 2θ = 17.23°, 5.147 Å, I 38
- 2θ = 18.04°, 4.916 Å, I 28
- 2θ = 21.14°, 4.202 Å, I 42
- 2θ = 28.73°, 3.107 Å, I 36
- 2θ = 30.95°, 2.889 Å, I 30
- 2θ = 32.88°, 2.724 Å, I 64
- 2θ = 33.70°, 2.660 Å, I 50
- 2θ = 34.33°, 2.612 Å, I 26
- 2θ = 34.86°, 2.574 Å, I 30